No. 1
La2Pr3Nd: theoretical powder diffraction line list (Cu Kα (λ = 1.5418 Å)), based on a cell relaxed with PBE.
Neutral-atom scattering factors, no anomalous dispersion.

Atomic structure:
```
data_La2Pr3Nd
_chemical_formula_sum 'La4 Pr6 Nd2'
_cell_length_a 7.198
_cell_length_b 10.190
_cell_length_c 5.911
_cell_angle_alpha 90.00
_cell_angle_beta 90.00
_cell_angle_gamma 90.00
_space_group_name_H-M_alt 'P n n m'
_space_group_IT_number 58
loop_
_space_group_symop_operation_xyz
'x,y,z'
'-x,-y,-z'
'-x,-y,z'
'x,y,-z'
'x+1/2,-y+1/2,-z+1/2'
'-x+1/2,y+1/2,z+1/2'
'-x+1/2,y+1/2,-z+1/2'
'x+1/2,-y+1/2,z+1/2'
loop_
_atom_site_label
_atom_site_type_symbol
_atom_site_fract_x
_atom_site_fract_y
_atom_site_fract_z
_atom_site_occupancy
La1 La 0.250 0.168 0.000 1
Pr1 Pr 0.000 0.000 0.500 1
Pr2 Pr 0.250 0.333 0.500 1
Nd1 Nd 0.000 0.500 0.000 1
```

Principal peaks in the range 2θ = 10–80°, low angle first:
(hkl)	d/Å	I_rel
0 0 2	2.956	21.6
0 3 1	2.943	100.0
2 3 1	2.281	6.5
2 2 2	2.084	14.6
2 4 0	2.079	6.9
0 3 3	1.704	16.1
0 6 0	1.699	19.5
4 3 1	1.536	18.8
0 6 2	1.473	5.2
4 3 3	1.237	5.9



No. 2
AsS4N4F5: theoretical powder diffraction line list (Cu Kα (λ = 1.5418 Å)), based on a cell relaxed with PBE.
Neutral-atom scattering factors, no anomalous dispersion.

Atomic structure:
```
data_AsS4N4F5
_chemical_formula_sum 'As2 S8 N8 F10'
_cell_length_a 5.837
_cell_length_b 11.599
_cell_length_c 7.922
_cell_angle_alpha 90.00
_cell_angle_beta 109.63
_cell_angle_gamma 90.00
_space_group_name_H-M_alt 'P 1 21/m 1'
_space_group_IT_number 11
loop_
_space_group_symop_operation_xyz
'x,y,z'
'-x,-y,-z'
'-x,y+1/2,-z'
'x,-y+1/2,z'
loop_
_atom_site_label
_atom_site_type_symbol
_atom_site_fract_x
_atom_site_fract_y
_atom_site_fract_z
_atom_site_occupancy
As1 As 0.149 0.250 0.149 1
S1 S 0.169 0.622 0.395 1
S2 S 0.339 0.129 0.857 1
N1 N 0.100 0.085 0.706 1
N2 N 0.251 0.750 0.375 1
N3 N 0.286 0.250 0.952 1
F1 F 0.035 0.250 0.329 1
F2 F 0.064 0.641 0.964 1
F3 F 0.362 0.140 0.255 1
```

Principal peaks in the range 2θ = 10–80°, low angle first:
(hkl)	d/Å	I_rel
0 2 0	5.799	80.6
1 0 0	5.498	38.0
1 1 0	4.968	50.3
1 1 -1	4.874	30.0
1 2 -1	3.941	33.3
1 1 1	3.655	59.6
1 1 -2	3.546	100.0
0 3 1	3.433	48.2
1 1 -3	2.555	37.9
1 4 2	1.974	30.9